Structure and calculated powder diffractogram of PrDy4Al4 (a cell relaxed with GGA-PBE; Cu Kα (weighted mean of Kα1 and Kα2)).
Kinematic intensities with the Lorentz-polarization factor, no thermal factor.

Structural model:
```
data_PrDy4Al4
_chemical_formula_sum 'Pr2 Dy8 Al8'
_space_group_name_H-M_alt 'I 4/m'
_space_group_IT_number 87
_space_group_name_Hall '-I 4'
_cell_length_a 9.807
_cell_length_b 9.807
_cell_length_c 5.159
_cell_angle_alpha 90.00
_cell_angle_beta 90.00
_cell_angle_gamma 90.00
loop_
_atom_site_label
_atom_site_type_symbol
_atom_site_fract_x
_atom_site_fract_y
_atom_site_fract_z
Pr1 Pr 0.000 0.000 0.000
Dy1 Dy 0.110 0.352 0.000
Al1 Al 0.078 0.178 0.500
```

Peak list (10 most intense, 2θ from 10° to 90°, low angle first)
2θ 26.68, rel. 100
2θ 28.79, rel. 49
2θ 32.42, rel. 19
2θ 34.78, rel. 27
2θ 36.65, rel. 12
2θ 37.38, rel. 59
2θ 45.75, rel. 28
2θ 53.35, rel. 13
2θ 60.13, rel. 16
2θ 64.06, rel. 12

=====

Structure and calculated powder diffractogram of Tb4GeSb2 (a cell relaxed with GGA-PBE; Cu Kα (weighted mean of Kα1 and Kα2)).
Kinematic intensities with the Lorentz-polarization factor, no thermal factor.

Structural model:
```
data_Tb4GeSb2
_chemical_formula_sum 'Tb8 Ge2 Sb4'
_space_group_name_H-M_alt 'C 1 2/m 1'
_space_group_IT_number 12
_cell_length_a 11.633
_cell_length_b 4.414
_cell_length_c 8.547
_cell_angle_alpha 90.00
_cell_angle_beta 117.70
_cell_angle_gamma 90.00
loop_
_space_group_symop_operation_xyz
'x,y,z'
'-x,-y,-z'
'-x,y,-z'
'x,-y,z'
'x+1/2,y+1/2,z'
'-x+1/2,-y+1/2,-z'
'-x+1/2,y+1/2,-z'
'x+1/2,-y+1/2,z'
loop_
_atom_site_label
_atom_site_type_symbol
_atom_site_fract_x
_atom_site_fract_y
_atom_site_fract_z
Tb1 Tb 0.084 0.000 0.371
Tb2 Tb 0.172 0.500 0.071
Ge1 Ge 0.000 0.000 0.000
Sb1 Sb 0.149 0.500 0.673
```

Peak list (10 most intense, 2θ from 10° to 90°, low angle first)
2θ 26.77, rel. 53
2θ 29.18, rel. 83
2θ 30.69, rel. 100
2θ 31.41, rel. 43
2θ 31.67, rel. 34
2θ 33.06, rel. 96
2θ 35.28, rel. 75
2θ 35.59, rel. 41
2θ 38.84, rel. 60
2θ 40.89, rel. 64